(1)
For AcHoCd6, a structure optimized by DFT (PBE) gives the calculated XRD peak list in this record (CuKα).
Kinematic intensities with the Lorentz-polarization factor, no thermal factor.

Principal peaks in the range 2θ = 5–70°, in order of rising 2θ:
| Position (°2θ) | d [Å] | intensity |
| --- | --- | --- |
| 28.8 | 3.102 | 11 |
| 31.5 | 2.836 | 21 |
| 32.1 | 2.787 | 14 |
| 34.1 | 2.631 | 100 |
| 36.2 | 2.481 | 28 |
| 36.5 | 2.463 | 21 |
| 48.8 | 1.868 | 12 |
| 62.6 | 1.485 | 9 |
| 63.8 | 1.460 | 16 |
| 67.2 | 1.394 | 9 |

Crystal structure
```
data_AcHoCd6
_chemical_formula_sum 'Ac2 Ho2 Cd12'
_space_group_name_H-M_alt 'P 1'
_space_group_IT_number 1
_space_group_name_Hall 'P 1'
_cell_length_a 4.9628
_cell_length_b 7.4114
_cell_length_c 11.3453
_cell_angle_alpha 90.00
_cell_angle_beta 90.00
_cell_angle_gamma 90.00
loop_
_atom_site_label
_atom_site_fract_x
_atom_site_fract_y
_atom_site_fract_z
Ac1 0.0000 0.0000 0.0000
Ac2 0.0000 0.5000 0.5000
Ho1 0.5000 0.0000 0.7232
Ho2 0.5000 0.5000 0.2232
Cd1 0.0000 0.0000 0.5431
Cd2 0.0000 0.2160 0.2679
Cd3 0.0000 0.2840 0.7679
Cd4 0.0000 0.5000 0.0431
Cd5 0.0000 0.7160 0.7679
Cd6 0.0000 0.7840 0.2679
Cd7 0.5000 0.0000 0.2022
Cd8 0.5000 0.2037 0.4525
Cd9 0.5000 0.2963 0.9525
Cd10 0.5000 0.5000 0.7022
Cd11 0.5000 0.7037 0.9525
Cd12 0.5000 0.7963 0.4525
```



(2)
For BeV2Se4, a structure optimized by DFT (PBE) gives the calculated XRD peak list in this record (CuKα).
Kinematic intensities with the Lorentz-polarization factor, no thermal factor.

Principal peaks in the range 2θ = 5–70°, in order of rising 2θ:
| Position (°2θ) | d [Å] | intensity |
| --- | --- | --- |
| 14.9 | 5.935 | 17 |
| 28.8 | 3.100 | 12 |
| 30.1 | 2.968 | 55 |
| 34.9 | 2.570 | 100 |
| 38.2 | 2.358 | 3 |
| 45.9 | 1.978 | 5 |
| 50.2 | 1.817 | 73 |
| 52.7 | 1.738 | 3 |
| 59.7 | 1.550 | 24 |
| 62.6 | 1.484 | 23 |

Crystal structure
```
data_BeV2Se4
_chemical_formula_sum 'Be2 V4 Se8'
_space_group_name_H-M_alt 'P 1'
_space_group_IT_number 1
_space_group_name_Hall 'P 1'
_cell_length_a 7.2691
_cell_length_b 7.2691
_cell_length_c 7.2691
_cell_angle_alpha 60.00
_cell_angle_beta 60.00
_cell_angle_gamma 60.00
loop_
_atom_site_label
_atom_site_fract_x
_atom_site_fract_y
_atom_site_fract_z
Be1 0.1250 0.1250 0.1250
Be2 0.8750 0.8750 0.8750
V1 0.0000 0.5000 0.5000
V2 0.5000 0.0000 0.5000
V3 0.5000 0.5000 0.0000
V4 0.5000 0.5000 0.5000
Se1 0.2514 0.2514 0.2514
Se2 0.2514 0.2514 0.7459
Se3 0.2514 0.7459 0.2514
Se4 0.2541 0.7486 0.7486
Se5 0.7459 0.2514 0.2514
Se6 0.7486 0.2541 0.7486
Se7 0.7486 0.7486 0.2541
Se8 0.7486 0.7486 0.7486
```



(3)
For VS2Cl5, a structure optimized by DFT (PBE) gives the calculated XRD peak list in this record (CuKα).
Kinematic intensities with the Lorentz-polarization factor, no thermal factor.

Principal peaks in the range 2θ = 5–70°, in order of rising 2θ:
| Position (°2θ) | d [Å] | intensity |
| --- | --- | --- |
| 8.9 | 9.937 | 61 |
| 13.8 | 6.398 | 100 |
| 14.6 | 6.070 | 75 |
| 17.9 | 4.969 | 83 |
| 18.2 | 4.881 | 69 |
| 26.9 | 3.312 | 34 |
| 30.1 | 2.972 | 45 |
| 31.0 | 2.883 | 57 |
| 31.6 | 2.829 | 71 |
| 34.7 | 2.582 | 37 |

Crystal structure
```
data_VS2Cl5
_chemical_formula_sum 'V1 S2 Cl5'
_space_group_name_H-M_alt 'P 1'
_space_group_IT_number 1
_space_group_name_Hall 'P 1'
_cell_length_a 3.6569
_cell_length_b 6.5849
_cell_length_c 10.2269
_cell_angle_alpha 103.61
_cell_angle_beta 90.93
_cell_angle_gamma 91.25
loop_
_atom_site_label
_atom_site_fract_x
_atom_site_fract_y
_atom_site_fract_z
V1 0.0000 0.0000 0.0000
S1 0.0541 0.2188 0.4490
S2 0.4215 0.1571 0.5667
Cl1 0.4816 0.7990 0.8772
Cl2 0.5071 0.2064 0.1229
Cl3 0.9852 0.5411 0.4836
Cl4 0.9895 0.8004 0.1469
Cl5 0.9911 0.2099 0.8579
```



(4)
For KGaGeS4, a structure optimized by DFT (PBE) gives the calculated XRD peak list in this record (CuKα).
Kinematic intensities with the Lorentz-polarization factor, no thermal factor.

Principal peaks in the range 2θ = 5–70°, in order of rising 2θ:
| Position (°2θ) | d [Å] | intensity |
| --- | --- | --- |
| 12.8 | 6.894 | 100 |
| 13.9 | 6.353 | 78 |
| 14.5 | 6.123 | 42 |
| 20.8 | 4.277 | 36 |
| 22.1 | 4.015 | 34 |
| 24.1 | 3.695 | 39 |
| 25.8 | 3.448 | 46 |
| 26.7 | 3.344 | 30 |
| 30.7 | 2.914 | 52 |
| 30.8 | 2.904 | 28 |

Crystal structure
```
data_KGaGeS4
_chemical_formula_sum 'K4 Ga4 Ge4 S16'
_space_group_name_H-M_alt 'P 1'
_space_group_IT_number 1
_space_group_name_Hall 'P 1'
_cell_length_a 6.9848
_cell_length_b 16.3619
_cell_length_c 7.2924
_cell_angle_alpha 90.00
_cell_angle_beta 109.03
_cell_angle_gamma 90.00
loop_
_atom_site_label
_atom_site_fract_x
_atom_site_fract_y
_atom_site_fract_z
K1 0.0126 0.0000 0.1691
K2 0.4655 0.7918 0.8247
K3 0.5345 0.2918 0.1753
K4 0.9874 0.5000 0.8309
Ga1 0.1042 0.6720 0.2988
Ga2 0.3453 0.4831 0.4846
Ga3 0.6547 0.9831 0.5154
Ga4 0.8958 0.1720 0.7012
Ge1 0.1679 0.3191 0.5292
Ge2 0.3986 0.1227 0.7184
Ge3 0.6014 0.6227 0.2816
Ge4 0.8321 0.8191 0.4708
S1 0.1141 0.8075 0.3923
S2 0.1220 0.3954 0.2631
S3 0.2147 0.1404 0.9143
S4 0.2247 0.5986 0.5742
S5 0.2816 0.2001 0.4463
S6 0.2897 0.6567 0.0906
S7 0.3688 0.9951 0.6042
S8 0.3985 0.3943 0.7497
S9 0.6015 0.8943 0.2503
S10 0.6312 0.4951 0.3958
S11 0.7103 0.1567 0.9094
S12 0.7184 0.7001 0.5537
S13 0.7753 0.0986 0.4258
S14 0.7853 0.6404 0.0857
S15 0.8780 0.8954 0.7369
S16 0.8859 0.3075 0.6077
```



(5)
For ThSbBrO4, a structure optimized by DFT (PBE) gives the calculated XRD peak list in this record (CuKα).
Kinematic intensities with the Lorentz-polarization factor, no thermal factor.

Principal peaks in the range 2θ = 5–70°, in order of rising 2θ:
| Position (°2θ) | d [Å] | intensity |
| --- | --- | --- |
| 12.9 | 6.868 | 51 |
| 16.9 | 5.249 | 39 |
| 24.1 | 3.688 | 100 |
| 24.3 | 3.670 | 39 |
| 25.9 | 3.434 | 23 |
| 27.6 | 3.230 | 93 |
| 32.1 | 2.784 | 24 |
| 32.9 | 2.726 | 55 |
| 42.9 | 2.110 | 22 |
| 44.7 | 2.029 | 48 |

Crystal structure
```
data_ThSbBrO4
_chemical_formula_sum 'Th2 Sb2 Br2 O8'
_space_group_name_H-M_alt 'P 1'
_space_group_IT_number 1
_space_group_name_Hall 'P 1'
_cell_length_a 6.6269
_cell_length_b 6.6269
_cell_length_c 7.2040
_cell_angle_alpha 104.52
_cell_angle_beta 104.52
_cell_angle_gamma 67.64
loop_
_atom_site_label
_atom_site_fract_x
_atom_site_fract_y
_atom_site_fract_z
Th1 0.2404 0.2404 0.1327
Th2 0.7596 0.7596 0.8673
Sb1 0.3659 0.3659 0.7339
Sb2 0.6341 0.6341 0.2661
Br1 0.0075 0.0075 0.7593
Br2 0.9925 0.9925 0.2407
O1 0.1064 0.4834 0.8535
O2 0.2990 0.2990 0.4607
O3 0.4549 0.4549 0.1893
O4 0.4834 0.1064 0.8535
O5 0.5166 0.8936 0.1465
O6 0.5451 0.5451 0.8107
O7 0.7010 0.7010 0.5393
O8 0.8936 0.5166 0.1465
```



(6)
For Dy3Zn8Ag, a structure optimized by DFT (PBE) gives the calculated XRD peak list in this record (CuKα).
Kinematic intensities with the Lorentz-polarization factor, no thermal factor.

Principal peaks in the range 2θ = 5–70°, in order of rising 2θ:
| Position (°2θ) | d [Å] | intensity |
| --- | --- | --- |
| 20.2 | 4.397 | 9 |
| 33.3 | 2.693 | 74 |
| 39.2 | 2.298 | 100 |
| 39.3 | 2.294 | 35 |
| 41.1 | 2.197 | 21 |
| 59.5 | 1.554 | 21 |
| 63.4 | 1.466 | 23 |
| 63.5 | 1.465 | 15 |
| 69.8 | 1.348 | 15 |
| 70.0 | 1.345 | 16 |

Crystal structure
```
data_Dy3Zn8Ag
_chemical_formula_sum 'Dy3 Zn8 Ag1'
_space_group_name_H-M_alt 'P 1'
_space_group_IT_number 1
_space_group_name_Hall 'P 1'
_cell_length_a 9.3490
_cell_length_b 9.3490
_cell_length_c 9.3490
_cell_angle_alpha 33.44
_cell_angle_beta 33.44
_cell_angle_gamma 33.44
loop_
_atom_site_label
_atom_site_fract_x
_atom_site_fract_y
_atom_site_fract_z
Dy1 0.0000 0.0000 0.0000
Dy2 0.1259 0.1259 0.1259
Dy3 0.5095 0.5095 0.5095
Zn1 0.0652 0.0652 0.5672
Zn2 0.0652 0.5672 0.0652
Zn3 0.0667 0.5648 0.5648
Zn4 0.3154 0.3154 0.3154
Zn5 0.5648 0.0667 0.5648
Zn6 0.5648 0.5648 0.0667
Zn7 0.5672 0.0652 0.0652
Zn8 0.8159 0.8159 0.8159
Ag1 0.6306 0.6306 0.6306
```



(7)
For Nd5Y3As8, a structure optimized by DFT (PBE) gives the calculated XRD peak list in this record (CuKα).
Kinematic intensities with the Lorentz-polarization factor, no thermal factor.

Principal peaks in the range 2θ = 5–70°, in order of rising 2θ:
| Position (°2θ) | d [Å] | intensity |
| --- | --- | --- |
| 12.9 | 6.887 | 2 |
| 24.7 | 3.597 | 2 |
| 25.9 | 3.444 | 10 |
| 30.0 | 2.983 | 100 |
| 32.7 | 2.737 | 2 |
| 42.9 | 2.109 | 74 |
| 50.8 | 1.799 | 5 |
| 53.2 | 1.722 | 26 |
| 62.3 | 1.491 | 12 |
| 68.6 | 1.369 | 2 |

Crystal structure
```
data_Nd5Y3As8
_chemical_formula_sum 'Nd5 Y3 As8'
_space_group_name_H-M_alt 'P 1'
_space_group_IT_number 1
_space_group_name_Hall 'P 1'
_cell_length_a 8.4355
_cell_length_b 8.4355
_cell_length_c 8.4355
_cell_angle_alpha 60.01
_cell_angle_beta 60.01
_cell_angle_gamma 60.01
loop_
_atom_site_label
_atom_site_fract_x
_atom_site_fract_y
_atom_site_fract_z
Nd1 0.0000 0.0000 0.0000
Nd2 0.0000 0.5000 0.5000
Nd3 0.5000 0.0000 0.5000
Nd4 0.5000 0.5000 0.0000
Nd5 0.5000 0.5000 0.5000
Y1 0.0000 0.0000 0.5000
Y2 0.0000 0.5000 0.0000
Y3 0.5000 0.0000 0.0000
As1 0.2442 0.7500 0.7500
As2 0.2472 0.2472 0.2472
As3 0.2500 0.2500 0.7558
As4 0.2500 0.7558 0.2500
As5 0.7500 0.2442 0.7500
As6 0.7500 0.7500 0.2442
As7 0.7528 0.7528 0.7528
As8 0.7558 0.2500 0.2500
```



(8)
For LuSiAu, a structure optimized by DFT (PBE) gives the calculated XRD peak list in this record (CuKα).
Kinematic intensities with the Lorentz-polarization factor, no thermal factor.

Principal peaks in the range 2θ = 5–70°, in order of rising 2θ:
| Position (°2θ) | d [Å] | intensity |
| --- | --- | --- |
| 23.8 | 3.742 | 33 |
| 34.7 | 2.587 | 100 |
| 41.8 | 2.160 | 50 |
| 45.1 | 2.012 | 7 |
| 48.7 | 1.871 | 5 |
| 51.0 | 1.790 | 6 |
| 55.4 | 1.658 | 27 |
| 57.0 | 1.615 | 5 |
| 66.1 | 1.414 | 4 |
| 68.0 | 1.378 | 16 |

Crystal structure
```
data_LuSiAu
_chemical_formula_sum 'Lu2 Si2 Au2'
_space_group_name_H-M_alt 'P 1'
_space_group_IT_number 1
_space_group_name_Hall 'P 1'
_cell_length_a 4.3205
_cell_length_b 4.3205
_cell_length_c 7.1595
_cell_angle_alpha 90.00
_cell_angle_beta 90.00
_cell_angle_gamma 120.00
loop_
_atom_site_label
_atom_site_fract_x
_atom_site_fract_y
_atom_site_fract_z
Lu1 0.0000 0.0000 0.0000
Lu2 0.0000 0.0000 0.5000
Si1 0.3333 0.6667 0.2120
Si2 0.3333 0.6667 0.7880
Au1 0.6667 0.3333 0.2812
Au2 0.6667 0.3333 0.7188
```



(9)
For Ti2P2O9, a structure optimized by DFT (PBE) gives the calculated XRD peak list in this record (CuKα).
Kinematic intensities with the Lorentz-polarization factor, no thermal factor.

Principal peaks in the range 2θ = 5–70°, in order of rising 2θ:
| Position (°2θ) | d [Å] | intensity |
| --- | --- | --- |
| 12.6 | 7.007 | 82 |
| 12.8 | 6.919 | 24 |
| 16.9 | 5.259 | 83 |
| 19.0 | 4.675 | 100 |
| 22.0 | 4.048 | 54 |
| 23.2 | 3.827 | 78 |
| 28.1 | 3.171 | 24 |
| 29.5 | 3.029 | 31 |
| 31.0 | 2.883 | 58 |
| 34.4 | 2.606 | 25 |

Crystal structure
```
data_Ti2P2O9
_chemical_formula_sum 'Ti8 P8 O36'
_space_group_name_H-M_alt 'P 1'
_space_group_IT_number 1
_space_group_name_Hall 'P 1'
_cell_length_a 14.0149
_cell_length_b 6.3418
_cell_length_c 7.9565
_cell_angle_alpha 90.00
_cell_angle_beta 90.00
_cell_angle_gamma 90.00
loop_
_atom_site_label
_atom_site_fract_x
_atom_site_fract_y
_atom_site_fract_z
Ti1 0.0000 0.0000 0.0000
Ti2 0.0000 0.5000 0.0000
Ti3 0.1234 0.2500 0.3514
Ti4 0.3766 0.7500 0.8514
Ti5 0.5000 0.0000 0.5000
Ti6 0.5000 0.5000 0.5000
Ti7 0.6234 0.2500 0.1486
Ti8 0.8766 0.7500 0.6486
P1 0.0559 0.7500 0.3478
P2 0.1950 0.7500 0.9148
P3 0.3050 0.2500 0.4148
P4 0.4441 0.2500 0.8478
P5 0.5559 0.7500 0.1522
P6 0.6950 0.7500 0.5852
P7 0.8050 0.2500 0.0852
P8 0.9441 0.2500 0.6522
O1 0.0050 0.7500 0.1681
O2 0.0192 0.2500 0.5144
O3 0.0402 0.2500 0.1377
O4 0.1181 0.5532 0.3501
O5 0.1181 0.9468 0.3501
O6 0.1301 0.5538 0.9384
O7 0.1301 0.9462 0.9384
O8 0.2189 0.2500 0.5375
O9 0.2488 0.7500 0.7436
O10 0.2512 0.2500 0.2436
O11 0.2811 0.7500 0.0375
O12 0.3699 0.0538 0.4384
O13 0.3699 0.4462 0.4384
O14 0.3819 0.0532 0.8501
O15 0.3819 0.4468 0.8501
O16 0.4598 0.7500 0.6377
O17 0.4808 0.7500 0.0144
O18 0.4950 0.2500 0.6681
O19 0.5050 0.7500 0.3319
O20 0.5192 0.2500 0.9856
O21 0.5402 0.2500 0.3623
O22 0.6181 0.5532 0.1499
O23 0.6181 0.9468 0.1499
O24 0.6301 0.5538 0.5616
O25 0.6301 0.9462 0.5616
O26 0.7189 0.2500 0.9625
O27 0.7488 0.7500 0.7564
O28 0.7512 0.2500 0.2564
O29 0.7811 0.7500 0.4625
O30 0.8699 0.0538 0.0616
O31 0.8699 0.4462 0.0616
O32 0.8819 0.0532 0.6499
O33 0.8819 0.4468 0.6499
O34 0.9598 0.7500 0.8623
O35 0.9808 0.7500 0.4856
O36 0.9950 0.2500 0.8319
```



(10)
For CaLaCuRh, a structure optimized by DFT (PBE) gives the calculated XRD peak list in this record (CuKα).
Kinematic intensities with the Lorentz-polarization factor, no thermal factor.

Principal peaks in the range 2θ = 5–70°, in order of rising 2θ:
| Position (°2θ) | d [Å] | intensity |
| --- | --- | --- |
| 16.9 | 5.234 | 21 |
| 31.0 | 2.884 | 10 |
| 34.3 | 2.617 | 28 |
| 35.5 | 2.526 | 100 |
| 37.8 | 2.378 | 21 |
| 50.3 | 1.813 | 9 |
| 52.0 | 1.760 | 16 |
| 62.2 | 1.493 | 19 |
| 62.3 | 1.490 | 9 |
| 66.8 | 1.400 | 15 |

Crystal structure
```
data_CaLaCuRh
_chemical_formula_sum 'Ca1 La1 Cu1 Rh1'
_space_group_name_H-M_alt 'P 1'
_space_group_IT_number 1
_space_group_name_Hall 'P 1'
_cell_length_a 3.6258
_cell_length_b 5.2339
_cell_length_c 4.7564
_cell_angle_alpha 90.00
_cell_angle_beta 90.00
_cell_angle_gamma 90.00
loop_
_atom_site_label
_atom_site_fract_x
_atom_site_fract_y
_atom_site_fract_z
Ca1 0.0000 0.0000 0.0000
La1 0.0000 0.5000 0.4987
Cu1 0.5000 0.0000 0.5016
Rh1 0.5000 0.5000 0.9960
```



(11)
For Dy6SnC3, a structure optimized by DFT (PBE) gives the calculated XRD peak list in this record (CuKα).
Kinematic intensities with the Lorentz-polarization factor, no thermal factor.

Principal peaks in the range 2θ = 5–70°, in order of rising 2θ:
| Position (°2θ) | d [Å] | intensity |
| --- | --- | --- |
| 27.3 | 3.267 | 22 |
| 30.0 | 2.978 | 52 |
| 31.2 | 2.864 | 100 |
| 32.0 | 2.794 | 33 |
| 33.2 | 2.697 | 35 |
| 37.6 | 2.390 | 27 |
| 40.7 | 2.218 | 18 |
| 41.0 | 2.201 | 21 |
| 54.0 | 1.697 | 22 |
| 58.6 | 1.575 | 29 |

Crystal structure
```
data_Dy6SnC3
_chemical_formula_sum 'Dy6 Sn1 C3'
_space_group_name_H-M_alt 'P 1'
_space_group_IT_number 1
_space_group_name_Hall 'P 1'
_cell_length_a 7.0507
_cell_length_b 7.0507
_cell_length_c 7.0507
_cell_angle_alpha 55.20
_cell_angle_beta 55.20
_cell_angle_gamma 55.20
loop_
_atom_site_label
_atom_site_fract_x
_atom_site_fract_y
_atom_site_fract_z
Dy1 0.0014 0.3396 0.6591
Dy2 0.0445 0.9537 0.4858
Dy3 0.3396 0.6591 0.0014
Dy4 0.4858 0.0445 0.9537
Dy5 0.6591 0.0014 0.3396
Dy6 0.9537 0.4858 0.0445
Sn1 0.5087 0.5087 0.5087
C1 0.0731 0.0731 0.0731
C2 0.2663 0.2663 0.2663
C3 0.7377 0.7377 0.7377
```